Calculated powder diffraction line list
Compound: Ba2LiNi2O6
Radiation: λ = 1.5418 Å (Cu Kα)
Structure: a structure optimized by DFT (PBE+U)

Atomic structure:
a = 5.7021 Å, b = 5.7021 Å, c = 5.1980 Å
α = 90.00°, β = 90.00°, γ = 120.00°
Space group P3m1 (No. 156)
Symmetry-distinct sites (fractional):
Ba: 0.0000 0.0000 0.0000
Ba: 0.3333 0.6667 0.5337
Li: 0.3333 0.6667 0.0333
Ni: 0.6667 0.3333 0.3316
Ni: 0.6667 0.3333 0.8294
O: 0.3710 0.1855 0.5994
O: 0.5139 0.0279 0.0700

Main lines, by angle (15 to 90 degrees two-theta):
2θ = 24.9°, rel. 100
2θ = 31.4°, rel. 93
2θ = 39.2°, rel. 37
2θ = 40.4°, rel. 60
2θ = 47.3°, rel. 16
2θ = 51.0°, rel. 27
2θ = 52.1°, rel. 24
2θ = 55.9°, rel. 17
2θ = 61.1°, rel. 24
2θ = 65.5°, rel. 17